Structure and simulated X-ray diffraction stick pattern of Ce3Si2Rh3 (a DFT-relaxed cell (PBE, the Materials Project); Cu Kα).
Kinematic intensities with the Lorentz-polarization factor, no thermal factor.

Structure:
Unit cell a=7.7269 b=14.8800 c=5.6560 alpha=90.00 beta=90.00 gamma=90.00
Element x y z (fractional)
Ce 0.0271 0.1078 0.1437
Ce 0.0271 0.3922 0.1437
Ce 0.1626 0.2500 0.6183
Ce 0.3374 0.7500 0.1183
Ce 0.4729 0.6078 0.6437
Ce 0.4729 0.8922 0.6437
Ce 0.5271 0.1078 0.3563
Ce 0.5271 0.3922 0.3563
Ce 0.6626 0.2500 0.8817
Ce 0.8374 0.7500 0.3817
Ce 0.9729 0.6078 0.8563
Ce 0.9729 0.8922 0.8563
Si 0.1257 0.6012 0.3558
Si 0.1257 0.8988 0.3558
Si 0.3743 0.1012 0.8558
Si 0.3743 0.3988 0.8558
Si 0.6257 0.6012 0.1442
Si 0.6257 0.8988 0.1442
Si 0.8743 0.1012 0.6442
Si 0.8743 0.3988 0.6442
Rh 0.1629 0.0363 0.5951
Rh 0.1629 0.4637 0.5951
Rh 0.1887 0.7500 0.5812
Rh 0.3113 0.2500 0.0812
Rh 0.3371 0.5363 0.0951
Rh 0.3371 0.9637 0.0951
Rh 0.6629 0.0363 0.9049
Rh 0.6629 0.4637 0.9049
Rh 0.6887 0.7500 0.9188
Rh 0.8113 0.2500 0.4188
Rh 0.8371 0.5363 0.4049
Rh 0.8371 0.9637 0.4049

Peak list (8 most intense, 15° ≤ 2θ ≤ 90°, by angle)
| 2theta | d (Å) | I (rel.) |
| --- | --- | --- |
| 31.01 | 2.883 | 59 |
| 33.42 | 2.681 | 88 |
| 33.75 | 2.656 | 43 |
| 34.30 | 2.614 | 37 |
| 36.22 | 2.480 | 22 |
| 37.13 | 2.422 | 39 |
| 38.42 | 2.343 | 100 |
| 41.79 | 2.161 | 29 |



Structure and simulated X-ray diffraction stick pattern of Ce3Sn13Rh4 (a DFT-relaxed cell (PBE, the Materials Project); Cu Kα).
Kinematic intensities with the Lorentz-polarization factor, no thermal factor.

Structure:
Unit cell a=9.7837 b=9.7837 c=9.7837 alpha=90.00 beta=90.00 gamma=90.00
Element x y z (fractional)
Ce 0.0000 0.2500 0.5000
Ce 0.0000 0.7500 0.5000
Ce 0.2500 0.5000 0.0000
Ce 0.5000 0.0000 0.2500
Ce 0.5000 0.0000 0.7500
Ce 0.7500 0.5000 0.0000
Sn 0.0000 0.0000 0.0000
Sn 0.0000 0.3083 0.1516
Sn 0.0000 0.3083 0.8484
Sn 0.0000 0.6917 0.1516
Sn 0.0000 0.6917 0.8484
Sn 0.1516 0.0000 0.3083
Sn 0.1516 0.0000 0.6917
Sn 0.1917 0.5000 0.3484
Sn 0.1917 0.5000 0.6516
Sn 0.3083 0.1516 0.0000
Sn 0.3083 0.8484 0.0000
Sn 0.3484 0.1917 0.5000
Sn 0.3484 0.8083 0.5000
Sn 0.5000 0.3484 0.1917
Sn 0.5000 0.3484 0.8083
Sn 0.5000 0.5000 0.5000
Sn 0.5000 0.6516 0.1917
Sn 0.5000 0.6516 0.8083
Sn 0.6516 0.1917 0.5000
Sn 0.6516 0.8083 0.5000
Sn 0.6917 0.1516 0.0000
Sn 0.6917 0.8484 0.0000
Sn 0.8083 0.5000 0.3484
Sn 0.8083 0.5000 0.6516
Sn 0.8484 0.0000 0.3083
Sn 0.8484 0.0000 0.6917
Rh 0.2500 0.2500 0.2500
Rh 0.2500 0.2500 0.7500
Rh 0.2500 0.7500 0.2500
Rh 0.2500 0.7500 0.7500
Rh 0.7500 0.2500 0.2500
Rh 0.7500 0.2500 0.7500
Rh 0.7500 0.7500 0.2500
Rh 0.7500 0.7500 0.7500

Peak list (8 most intense, 15° ≤ 2θ ≤ 90°, by angle)
| 2theta | d (Å) | I (rel.) |
| --- | --- | --- |
| 33.01 | 2.714 | 100 |
| 34.29 | 2.615 | 39 |
| 36.74 | 2.446 | 20 |
| 37.92 | 2.373 | 15 |
| 45.41 | 1.997 | 22 |
| 54.70 | 1.678 | 14 |
| 58.12 | 1.587 | 16 |
| 63.02 | 1.475 | 13 |



Structure and simulated X-ray diffraction stick pattern of CeSn4Rh2 (a DFT-relaxed cell (PBE, the Materials Project); Cu Kα).
Kinematic intensities with the Lorentz-polarization factor, no thermal factor.

Structure:
Unit cell a=18.6730 b=4.5385 c=7.2078 alpha=90.00 beta=90.00 gamma=90.00
Element x y z (fractional)
Ce 0.1411 0.2500 0.0012
Ce 0.3589 0.7500 0.5012
Ce 0.6411 0.2500 0.4988
Ce 0.8589 0.7500 0.9988
Sn 0.0319 0.7500 0.8642
Sn 0.0683 0.2500 0.4825
Sn 0.1821 0.7500 0.3005
Sn 0.1946 0.7500 0.7238
Sn 0.3054 0.2500 0.2238
Sn 0.3179 0.2500 0.8005
Sn 0.4317 0.7500 0.9825
Sn 0.4681 0.2500 0.3642
Sn 0.5319 0.7500 0.6358
Sn 0.5683 0.2500 0.0175
Sn 0.6821 0.7500 0.1995
Sn 0.6946 0.7500 0.7762
Sn 0.8054 0.2500 0.2762
Sn 0.8179 0.2500 0.6995
Sn 0.9317 0.7500 0.5175
Sn 0.9681 0.2500 0.1358
Rh 0.0344 0.7500 0.2509
Rh 0.2124 0.2500 0.5180
Rh 0.2876 0.7500 0.0180
Rh 0.4656 0.2500 0.7509
Rh 0.5344 0.7500 0.2491
Rh 0.7124 0.2500 0.9820
Rh 0.7876 0.7500 0.4820
Rh 0.9656 0.2500 0.7491

Peak list (8 most intense, 15° ≤ 2θ ≤ 90°, by angle)
| 2theta | d (Å) | I (rel.) |
| --- | --- | --- |
| 33.16 | 2.702 | 100 |
| 33.47 | 2.677 | 59 |
| 34.96 | 2.567 | 22 |
| 35.90 | 2.502 | 28 |
| 39.72 | 2.269 | 48 |
| 43.28 | 2.091 | 23 |
| 54.60 | 1.681 | 18 |
| 62.60 | 1.484 | 20 |



Structure and simulated X-ray diffraction stick pattern of Ce5Sn10Rh4 (a DFT-relaxed cell (PBE, the Materials Project); Cu Kα).
Kinematic intensities with the Lorentz-polarization factor, no thermal factor.

Structure:
Unit cell a=14.1151 b=14.1151 c=4.6224 alpha=90.00 beta=90.00 gamma=90.00
Element x y z (fractional)
Ce 0.0000 0.0000 0.0000
Ce 0.1107 0.3893 0.5000
Ce 0.1764 0.6764 0.5000
Ce 0.3236 0.1764 0.5000
Ce 0.3893 0.8893 0.5000
Ce 0.5000 0.5000 0.0000
Ce 0.6107 0.1107 0.5000
Ce 0.6764 0.8236 0.5000
Ce 0.8236 0.3236 0.5000
Ce 0.8893 0.6107 0.5000
Sn 0.0040 0.8388 0.5000
Sn 0.0686 0.5686 0.0000
Sn 0.1543 0.1995 0.0000
Sn 0.1612 0.0040 0.5000
Sn 0.1995 0.8457 0.0000
Sn 0.3005 0.3457 0.0000
Sn 0.3388 0.5040 0.5000
Sn 0.3457 0.6995 0.0000
Sn 0.4314 0.0686 0.0000
Sn 0.4960 0.3388 0.5000
Sn 0.5040 0.6612 0.5000
Sn 0.5686 0.9314 0.0000
Sn 0.6543 0.3005 0.0000
Sn 0.6612 0.4960 0.5000
Sn 0.6995 0.6543 0.0000
Sn 0.8005 0.1543 0.0000
Sn 0.8388 0.9960 0.5000
Sn 0.8457 0.8005 0.0000
Sn 0.9314 0.4314 0.0000
Sn 0.9960 0.1612 0.5000
Rh 0.0292 0.7533 0.0000
Rh 0.2467 0.0292 0.0000
Rh 0.2533 0.5292 0.0000
Rh 0.4708 0.2533 0.0000
Rh 0.5292 0.7467 0.0000
Rh 0.7467 0.4708 0.0000
Rh 0.7533 0.9708 0.0000
Rh 0.9708 0.2467 0.0000

Peak list (8 most intense, 15° ≤ 2θ ≤ 90°, by angle)
| 2theta | d (Å) | I (rel.) |
| --- | --- | --- |
| 29.91 | 2.987 | 48 |
| 31.91 | 2.805 | 24 |
| 32.34 | 2.768 | 36 |
| 32.55 | 2.751 | 29 |
| 33.18 | 2.700 | 100 |
| 34.41 | 2.607 | 30 |
| 38.81 | 2.321 | 25 |
| 38.97 | 2.311 | 52 |



Structure and simulated X-ray diffraction stick pattern of Ce3YRh4 (a DFT-relaxed cell (PBE, the Materials Project); Cu Kα).
Kinematic intensities with the Lorentz-polarization factor, no thermal factor.

Structure:
Unit cell a=3.8163 b=4.1675 c=10.9713 alpha=90.00 beta=90.00 gamma=90.00
Element x y z (fractional)
Ce 0.0000 0.0000 0.0000
Ce 0.0000 0.5000 0.2802
Ce 0.5000 0.5000 0.7689
Y 0.5000 0.0000 0.4975
Rh 0.0000 0.0000 0.7328
Rh 0.0000 0.5000 0.5461
Rh 0.5000 0.0000 0.2298
Rh 0.5000 0.5000 0.0399

Peak list (8 most intense, 15° ≤ 2θ ≤ 90°, by angle)
| 2theta | d (Å) | I (rel.) |
| --- | --- | --- |
| 32.65 | 2.743 | 40 |
| 32.85 | 2.726 | 100 |
| 39.32 | 2.291 | 16 |
| 40.44 | 2.230 | 67 |
| 43.43 | 2.084 | 26 |
| 47.66 | 1.908 | 19 |
| 55.37 | 1.659 | 17 |
| 58.97 | 1.566 | 15 |



Structure and simulated X-ray diffraction stick pattern of CeYRh4 (a DFT-relaxed cell (PBE, the Materials Project); Cu Kα).
Kinematic intensities with the Lorentz-polarization factor, no thermal factor.

Structure:
Unit cell a=5.3691 b=5.3691 c=5.3691 alpha=60.00 beta=60.00 gamma=60.00
Element x y z (fractional)
Ce 0.0000 0.0000 0.0000
Y 0.2500 0.2500 0.2500
Rh 0.1255 0.6248 0.6248
Rh 0.6248 0.1255 0.6248
Rh 0.6248 0.6248 0.1255
Rh 0.6248 0.6248 0.6248

Peak list (8 most intense, 15° ≤ 2θ ≤ 90°, by angle)
| 2theta | d (Å) | I (rel.) |
| --- | --- | --- |
| 33.38 | 2.685 | 30 |
| 39.36 | 2.289 | 100 |
| 41.18 | 2.192 | 38 |
| 59.66 | 1.550 | 11 |
| 63.68 | 1.461 | 32 |
| 70.11 | 1.342 | 27 |
| 83.48 | 1.158 | 11 |
| 84.67 | 1.145 | 14 |



Structure and simulated X-ray diffraction stick pattern of CeY4Rh5 (a DFT-relaxed cell (PBE, the Materials Project); Cu Kα).
Kinematic intensities with the Lorentz-polarization factor, no thermal factor.

Structure:
Unit cell a=3.4524 b=3.4524 c=17.1841 alpha=90.00 beta=90.00 gamma=90.00
Element x y z (fractional)
Ce 0.0000 0.0000 0.0000
Y 0.0000 0.0000 0.2019
Y 0.0000 0.0000 0.4005
Y 0.0000 0.0000 0.5995
Y 0.0000 0.0000 0.7981
Rh 0.5000 0.5000 0.0984
Rh 0.5000 0.5000 0.2998
Rh 0.5000 0.5000 0.5000
Rh 0.5000 0.5000 0.7002
Rh 0.5000 0.5000 0.9016

Peak list (8 most intense, 15° ≤ 2θ ≤ 90°, by angle)
| 2theta | d (Å) | I (rel.) |
| --- | --- | --- |
| 36.88 | 2.438 | 100 |
| 53.05 | 1.726 | 11 |
| 53.31 | 1.718 | 6 |
| 66.38 | 1.408 | 23 |
| 66.55 | 1.405 | 11 |
| 78.33 | 1.221 | 4 |
| 78.55 | 1.218 | 7 |
| 89.87 | 1.091 | 10 |



Structure and simulated X-ray diffraction stick pattern of Ce7Ru3 (a DFT-relaxed cell (PBE, the Materials Project); Cu Kα).
Kinematic intensities with the Lorentz-polarization factor, no thermal factor.

Structure:
Unit cell a=9.6267 b=9.6267 c=6.1745 alpha=90.00 beta=90.00 gamma=120.00
Element x y z (fractional)
Ce 0.0742 0.5371 0.0000
Ce 0.1259 0.2517 0.7213
Ce 0.1259 0.8741 0.7213
Ce 0.2517 0.1259 0.2213
Ce 0.3333 0.6667 0.5025
Ce 0.4629 0.5371 0.0000
Ce 0.4629 0.9258 0.0000
Ce 0.5371 0.0742 0.5000
Ce 0.5371 0.4629 0.5000
Ce 0.6667 0.3333 0.0025
Ce 0.7483 0.8741 0.7213
Ce 0.8741 0.1259 0.2213
Ce 0.8741 0.7483 0.2213
Ce 0.9258 0.4629 0.5000
Ru 0.1818 0.3636 0.2513
Ru 0.1818 0.8182 0.2513
Ru 0.3636 0.1818 0.7513
Ru 0.6364 0.8182 0.2513
Ru 0.8182 0.1818 0.7513
Ru 0.8182 0.6364 0.7513

Peak list (8 most intense, 15° ≤ 2θ ≤ 90°, by angle)
| 2theta | d (Å) | I (rel.) |
| --- | --- | --- |
| 30.89 | 2.895 | 63 |
| 31.88 | 2.807 | 100 |
| 35.42 | 2.534 | 64 |
| 36.21 | 2.481 | 69 |
| 37.37 | 2.407 | 59 |
| 55.56 | 1.654 | 26 |
| 56.61 | 1.626 | 31 |
| 57.23 | 1.610 | 24 |



Structure and simulated X-ray diffraction stick pattern of Ce4Ru (a DFT-relaxed cell (PBE, the Materials Project); Cu Kα).
Kinematic intensities with the Lorentz-polarization factor, no thermal factor.

Structure:
Unit cell a=7.3879 b=7.3879 c=7.3879 alpha=60.00 beta=60.00 gamma=60.00
Element x y z (fractional)
Ce 0.1983 0.7672 0.7672
Ce 0.2328 0.2328 0.2328
Ce 0.2328 0.2328 0.8017
Ce 0.2328 0.8017 0.2328
Ce 0.7672 0.1983 0.7672
Ce 0.7672 0.7672 0.1983
Ce 0.7672 0.7672 0.7672
Ce 0.8017 0.2328 0.2328
Ru 0.3750 0.3750 0.3750
Ru 0.6250 0.6250 0.6250

Peak list (8 most intense, 15° ≤ 2θ ≤ 90°, by angle)
| 2theta | d (Å) | I (rel.) |
| --- | --- | --- |
| 24.09 | 3.694 | 16 |
| 29.62 | 3.016 | 100 |
| 34.33 | 2.612 | 30 |
| 37.52 | 2.397 | 26 |
| 45.09 | 2.011 | 29 |
| 49.34 | 1.847 | 43 |
| 58.61 | 1.575 | 29 |
| 74.31 | 1.276 | 12 |



Structure and simulated X-ray diffraction stick pattern of CeSi3Ru (a DFT-relaxed cell (PBE, the Materials Project); Cu Kα).
Kinematic intensities with the Lorentz-polarization factor, no thermal factor.

Structure:
Unit cell a=4.1869 b=4.1869 c=9.9955 alpha=90.00 beta=90.00 gamma=90.00
Element x y z (fractional)
Ce 0.0000 0.0000 0.0000
Ce 0.5000 0.5000 0.5000
Si 0.0000 0.0000 0.5742
Si 0.0000 0.5000 0.2305
Si 0.0000 0.5000 0.7305
Si 0.5000 0.0000 0.2305
Si 0.5000 0.0000 0.7305
Si 0.5000 0.5000 0.0742
Ru 0.0000 0.0000 0.3397
Ru 0.5000 0.5000 0.8397

Peak list (8 most intense, 15° ≤ 2θ ≤ 90°, by angle)
| 2theta | d (Å) | I (rel.) |
| --- | --- | --- |
| 23.03 | 3.862 | 44 |
| 30.19 | 2.961 | 57 |
| 34.40 | 2.607 | 100 |
| 35.23 | 2.547 | 58 |
| 43.22 | 2.093 | 50 |
| 50.60 | 1.804 | 18 |
| 56.37 | 1.632 | 48 |
| 64.14 | 1.452 | 19 |



Structure and simulated X-ray diffraction stick pattern of CeSi2Ru2 (a DFT-relaxed cell (PBE, the Materials Project); Cu Kα).
Kinematic intensities with the Lorentz-polarization factor, no thermal factor.

Structure:
Unit cell a=4.2045 b=4.2045 c=9.7116 alpha=90.00 beta=90.00 gamma=90.00
Element x y z (fractional)
Ce 0.0000 0.0000 0.0000
Ce 0.5000 0.5000 0.5000
Si 0.0000 0.0000 0.3679
Si 0.0000 0.0000 0.6321
Si 0.5000 0.5000 0.1321
Si 0.5000 0.5000 0.8679
Ru 0.0000 0.5000 0.2500
Ru 0.0000 0.5000 0.7500
Ru 0.5000 0.0000 0.2500
Ru 0.5000 0.0000 0.7500

Peak list (8 most intense, 15° ≤ 2θ ≤ 90°, by angle)
| 2theta | d (Å) | I (rel.) |
| --- | --- | --- |
| 23.05 | 3.858 | 25 |
| 34.98 | 2.565 | 30 |
| 35.40 | 2.536 | 100 |
| 37.03 | 2.428 | 16 |
| 43.03 | 2.102 | 40 |
| 58.04 | 1.589 | 17 |
| 65.68 | 1.422 | 19 |
| 73.91 | 1.282 | 23 |



Q: Number 10 is which compound?
A: CeSi3Ru